# SmHo3Er7
Computed powder X-ray diffraction pattern, Cu Ka. Input: a crystal structure in Alexandria, relaxed with PBE.
Intensities are scaled so that the largest is 100.

Top 10 peaks for 10° ≤ 2θ ≤ 90°, in order of rising 2θ:
Position (°2θ)	I (rel.)
31.8	21.3
32.1	100.0
32.3	47.6
32.7	70.3
33.3	55.3
46.9	16.8
53.2	16.0
57.9	15.8
58.7	21.3
63.8	22.1

Atomic structure:
abc: 6.884 5.481 9.827
angles: 90.00 109.53 90.00
Fractional positions:
1 Sm 0.000 0.000 0.000
2 Ho 0.277 0.500 0.496
3 Ho 0.500 0.000 0.000
4 Ho 0.723 0.500 0.504
5 Er 0.000 0.000 0.500
6 Er 0.149 0.500 0.790
7 Er 0.322 0.500 0.142
8 Er 0.425 0.000 0.332
9 Er 0.575 0.000 0.668
10 Er 0.678 0.500 0.858
11 Er 0.851 0.500 0.210

---

# Sm3Ho5Er
Computed powder X-ray diffraction pattern, Cu Ka. Input: a crystal structure in Alexandria, relaxed with PBE.
Intensities are scaled so that the largest is 100.

Top 10 peaks for 10° ≤ 2θ ≤ 90°, in order of rising 2θ:
Position (°2θ)	I (rel.)
30.8	24.1
31.2	45.9
31.3	36.0
31.6	100.0
31.9	15.0
32.7	25.6
33.2	11.7
56.2	17.5
56.3	12.6
65.9	11.6

Atomic structure:
abc: 8.856 8.856 11.341
angles: 107.83 107.83 44.37
Fractional positions:
1 Sm 0.000 0.000 0.000
2 Sm 0.000 0.000 0.500
3 Sm 0.137 0.389 0.646
4 Sm 0.389 0.137 0.146
5 Sm 0.611 0.863 0.854
6 Sm 0.863 0.611 0.354
7 Ho 0.055 0.296 0.873
8 Ho 0.296 0.055 0.373
9 Ho 0.319 0.681 0.250
10 Ho 0.389 0.397 0.455
11 Ho 0.397 0.389 0.955
12 Ho 0.603 0.611 0.045
13 Ho 0.611 0.603 0.545
14 Ho 0.681 0.319 0.750
15 Ho 0.704 0.945 0.627
16 Ho 0.945 0.704 0.127
17 Er 0.227 0.773 0.750
18 Er 0.773 0.227 0.250